Record 1
Theoretical powder diffractogram
Compound: Rb3ReH8
Radiation: λ = 1.5418 Å (Cu Kα)
Structure: a PBE-relaxed structure
No peak broadening, texture or thermal motion is included.

Cell and atoms:
```
Rb3ReH8
1.0
-3.268 3.268 4.122
3.268 -3.268 4.122
3.268 3.268 -4.122
Rb Re H
3 1 8
direct
0.000 0.000 0.000
0.250 0.750 0.500
0.750 0.250 0.500
0.500 0.500 0.000
0.224 0.436 0.000
0.263 0.263 0.633
0.369 0.737 0.000
0.436 0.224 0.000
0.564 0.564 0.788
0.631 0.631 0.367
0.737 0.369 0.000
0.776 0.776 0.212
```

Principal peaks in the range 10° ≤ 2θ ≤ 90°, most intense first:
2θ 29.0, d = 3.076 Å, intensity 100
2θ 27.3, d = 3.268 Å, intensity 58
2θ 49.3, d = 1.848 Å, intensity 46
2θ 39.0, d = 2.311 Å, intensity 23
2θ 52.5, d = 1.743 Å, intensity 19
2θ 17.3, d = 5.121 Å, intensity 18


Record 2
Theoretical powder diffractogram
Compound: NbCo4Ru
Radiation: λ = 1.5418 Å (Cu Kα)
Structure: a PBE-relaxed structure
No peak broadening, texture or thermal motion is included.

Cell and atoms:
```
NbCo4Ru
1.0
0.000 3.347 3.347
3.347 0.000 3.347
3.347 3.347 0.000
Nb Co Ru
1 4 1
direct
0.000 0.000 0.000
0.126 0.625 0.625
0.625 0.126 0.625
0.625 0.625 0.126
0.625 0.625 0.625
0.250 0.250 0.250
```

Principal peaks in the range 10° ≤ 2θ ≤ 90°, most intense first:
2θ 44.9, d = 2.018 Å, intensity 100
2θ 38.0, d = 2.367 Å, intensity 46
2θ 73.5, d = 1.288 Å, intensity 28
2θ 47.0, d = 1.932 Å, intensity 25
2θ 81.3, d = 1.183 Å, intensity 23
2θ 68.7, d = 1.366 Å, intensity 15


Record 3
Theoretical powder diffractogram
Compound: KMnTe
Radiation: λ = 1.5418 Å (Cu Kα)
Structure: a PBE-relaxed structure
No peak broadening, texture or thermal motion is included.

Cell and atoms:
```
KMnTe
1.0
4.652 0.000 0.000
-2.326 4.029 0.000
0.000 0.000 5.251
K Mn Te
1 1 1
direct
0.000 0.000 0.000
0.667 0.333 0.500
0.333 0.667 0.500
```

Principal peaks in the range 10° ≤ 2θ ≤ 90°, most intense first:
2θ 27.9, d = 3.196 Å, intensity 100
2θ 16.9, d = 5.251 Å, intensity 52
2θ 38.7, d = 2.326 Å, intensity 48
2θ 52.6, d = 1.741 Å, intensity 38
2θ 42.5, d = 2.127 Å, intensity 30
2θ 22.1, d = 4.029 Å, intensity 24